(1)
Computed PXRD pattern of BaHo2Te4 for Cu Kα X-rays, from a PBE-relaxed structure.
Neutral-atom scattering factors, no anomalous dispersion.

Crystal structure
```
28
Lattice="13.797 0.000 0.000 0.000 4.476 0.000 0.000 0.000 16.268" Properties=species:S:1:pos:R:3 pbc="T T T"
Ba 3.293 1.119 2.759
Ba 3.605 3.357 10.894
Ba 10.192 1.119 5.375
Ba 10.504 3.357 13.509
Ho 0.813 1.119 6.348
Ho 1.113 1.119 14.699
Ho 5.785 3.357 6.565
Ho 6.085 3.357 14.483
Ho 7.712 1.119 1.786
Ho 8.012 1.119 9.703
Ho 12.684 3.357 1.569
Ho 12.984 3.357 9.920
Te 0.379 3.357 12.757
Te 1.239 1.119 9.370
Te 1.749 3.357 0.461
Te 2.824 3.357 5.536
Te 4.075 1.119 13.671
Te 5.149 1.119 8.596
Te 5.659 3.357 1.235
Te 6.519 1.119 4.623
Te 7.278 3.357 11.645
Te 8.138 1.119 15.033
Te 8.648 3.357 7.673
Te 9.723 3.357 2.598
Te 10.973 1.119 10.732
Te 12.048 1.119 15.807
Te 12.558 3.357 6.899
Te 13.418 1.119 3.511
```

Peak list (10 most intense, 10 to 80 degrees two-theta, sorted by position)
2θ/deg	I/Imax
25.81	57.8
26.62	100.0
28.12	82.2
28.36	73.4
32.45	87.0
32.78	48.8
35.58	49.7
39.74	54.9
40.30	76.2
41.05	54.4

***

(2)
Computed PXRD pattern of BaI2 for Cu Kα X-rays, from a PBE-relaxed structure.
Neutral-atom scattering factors, no anomalous dispersion.

Crystal structure
```
12
Lattice="9.024 0.000 0.000 0.000 5.419 0.000 0.000 0.000 10.843" Properties=species:S:1:pos:R:3 pbc="T T T"
Ba 2.215 1.355 1.241
Ba 2.297 4.064 6.662
Ba 6.726 1.355 4.181
Ba 6.809 4.064 9.603
I 0.206 1.355 9.060
I 1.280 1.355 4.634
I 3.232 4.064 10.055
I 4.305 4.064 3.638
I 4.718 1.355 7.205
I 5.792 1.355 0.788
I 7.744 4.064 6.210
I 8.817 4.064 1.783
```

Peak list (10 most intense, 10 to 80 degrees two-theta, sorted by position)
2θ/deg	I/Imax
25.24	82.5
25.69	50.0
26.57	25.9
27.00	100.0
29.71	49.7
33.05	71.6
34.09	32.5
35.89	22.8
48.21	43.9
54.23	21.5